Simulated powder diffractogram of PaAl5 for λ = 1.5418 Å (Cu Kα), from a DFT-relaxed cell (GGA-PBE, Alexandria).
No peak broadening, texture or thermal motion is included.

The 8 most intense peaks (2θ = 5–70°), most intense first:
- (0 1 1), 2θ = 17.93°, I = 100
- (1 2 1), 2θ = 37.21°, I = 86
- (1 0 1), 2θ = 22.51°, I = 62
- (1 0 3), 2θ = 37.80°, I = 57
- (1 1 0), 2θ = 24.68°, I = 56
- (1 1 2), 2θ = 32.67°, I = 48
- (0 2 2), 2θ = 36.32°, I = 45
- (0 0 2), 2θ = 21.07°, I = 38

Crystal structure
```
data_PaAl5
_chemical_formula_sum 'Pa2 Al10'
_cell_length_a 4.471
_cell_length_b 6.108
_cell_length_c 8.434
_cell_angle_alpha 90.00
_cell_angle_beta 90.00
_cell_angle_gamma 90.00
_space_group_name_H-M_alt 'I m m m'
_space_group_IT_number 71
_space_group_name_Hall '-I 2 2'
loop_
_atom_site_label
_atom_site_type_symbol
_atom_site_fract_x
_atom_site_fract_y
_atom_site_fract_z
Pa1 Pa 0.000 0.000 0.000
Al1 Al 0.000 0.236 0.336
Al2 Al 0.000 0.500 0.000
```

***

Simulated powder diffractogram of PaAl for λ = 1.5418 Å (Cu Kα), from a DFT-relaxed cell (GGA-PBE, Alexandria).
No peak broadening, texture or thermal motion is included.

The 8 most intense peaks (2θ = 5–70°), most intense first:
- (1 0 1), 2θ = 35.33°, I = 100
- (0 0 1), 2θ = 19.71°, I = 64
- (1 0 0), 2θ = 29.02°, I = 51
- (1 1 0), 2θ = 41.51°, I = 32
- (1 1 1), 2θ = 46.35°, I = 30
- (1 0 2), 2θ = 50.20°, I = 24
- (1 1 2), 2θ = 59.03°, I = 23
- (0 0 2), 2θ = 40.03°, I = 18

Crystal structure
```
data_PaAl
_chemical_formula_sum 'Pa1 Al1'
_cell_length_a 3.076
_cell_length_b 3.076
_cell_length_c 4.505
_cell_angle_alpha 90.00
_cell_angle_beta 90.00
_cell_angle_gamma 90.00
_space_group_name_H-M_alt 'P 4/m m m'
_space_group_IT_number 123
_space_group_name_Hall '-P 4 2'
loop_
_atom_site_label
_atom_site_type_symbol
_atom_site_fract_x
_atom_site_fract_y
_atom_site_fract_z
Pa1 Pa 0.000 0.000 0.000
Al1 Al 0.500 0.500 0.500
```

***

Simulated powder diffractogram of Pa2Al7 for λ = 1.5418 Å (Cu Kα), from a DFT-relaxed cell (GGA-PBE, Alexandria).
No peak broadening, texture or thermal motion is included.

The 8 most intense peaks (2θ = 5–70°), most intense first:
- (1 1 9), 2θ = 38.83°, I = 100
- (1 0 1), 2θ = 18.86°, I = 91
- (1 0 10), 2θ = 29.50°, I = 86
- (1 1 0), 2θ = 32.74°, I = 78
- (0 1 11), 2θ = 31.32°, I = 39
- (0 2 1), 2θ = 38.05°, I = 38
- (0 0 9), 2θ = 20.30°, I = 36
- (2 1 10), 2θ = 56.45°, I = 29

Crystal structure
```
data_Pa2Al7
_chemical_formula_sum 'Pa12 Al42'
_cell_length_a 5.4714
_cell_length_b 5.4714
_cell_length_c 39.3643
_cell_angle_alpha 90.00
_cell_angle_beta 90.00
_cell_angle_gamma 120.00
_space_group_name_H-M_alt 'R -3 m'
_space_group_IT_number 166
_space_group_name_Hall '-R 3 2"'
loop_
_atom_site_label
_atom_site_type_symbol
_atom_site_fract_x
_atom_site_fract_y
_atom_site_fract_z
Pa1 Pa 0.0000 0.0000 0.0521
Pa2 Pa 0.0000 0.0000 0.1521
Al1 Al 0.0000 0.0000 0.2786
Al2 Al 0.0000 0.0000 0.3888
Al3 Al 0.0000 0.0000 0.5000
Al4 Al 0.0000 0.5000 0.0000
Al5 Al 0.0047 0.5024 0.8895
```

***

Simulated powder diffractogram of PaAl10Pd2 for λ = 1.5418 Å (Cu Kα), from a DFT-relaxed cell (GGA-PBE, Alexandria).
No peak broadening, texture or thermal motion is included.

The 8 most intense peaks (2θ = 5–70°), most intense first:
- (4 0 0), 2θ = 39.90°, I = 100
- (2 0 2), 2θ = 27.39°, I = 78
- (1 1 0), 2θ = 13.03°, I = 61
- (2 4 0), 2θ = 40.28°, I = 59
- (2 2 3), 2θ = 39.12°, I = 57
- (1 1 1), 2θ = 16.10°, I = 51
- (2 2 1), 2θ = 27.92°, I = 47
- (3 1 2), 2θ = 36.49°, I = 38

Crystal structure
```
data_PaAl10Pd2
_chemical_formula_sum 'Pa4 Al40 Pd8'
_cell_length_a 9.038
_cell_length_b 10.308
_cell_length_c 9.394
_cell_angle_alpha 90.00
_cell_angle_beta 90.00
_cell_angle_gamma 90.00
_space_group_name_H-M_alt 'C m c m'
_space_group_IT_number 63
_space_group_name_Hall '-C 2c 2'
loop_
_atom_site_label
_atom_site_type_symbol
_atom_site_fract_x
_atom_site_fract_y
_atom_site_fract_z
Pa1 Pa 0.000 0.116 0.250
Al1 Al 0.000 0.158 0.602
Al2 Al 0.000 0.384 0.067
Al3 Al 0.148 0.378 0.750
Al4 Al 0.214 0.000 0.000
Al5 Al 0.237 0.371 0.250
Pd1 Pd 0.250 0.250 0.000
```

***

Simulated powder diffractogram of PaAlPd6 for λ = 1.5418 Å (Cu Kα), from a DFT-relaxed cell (GGA-PBE, Alexandria).
No peak broadening, texture or thermal motion is included.

The 8 most intense peaks (2θ = 5–70°), most intense first:
- (2 0 1), 2θ = 41.38°, I = 100
- (0 0 2), 2θ = 38.38°, I = 27
- (2 0 0), 2θ = 36.45°, I = 27
- (1 0 0), 2θ = 17.99°, I = 17
- (2 0 2), 2θ = 53.96°, I = 17
- (2 2 0), 2θ = 65.59°, I = 17
- (1 1 1), 2θ = 36.94°, I = 9
- (0 0 1), 2θ = 18.92°, I = 7

Crystal structure
```
data_PaAlPd6
_chemical_formula_sum 'Pa1 Al1 Pd6'
_cell_length_a 5.6932
_cell_length_b 5.6932
_cell_length_c 4.6906
_cell_angle_alpha 90.00
_cell_angle_beta 90.00
_cell_angle_gamma 120.00
_space_group_name_H-M_alt 'P -6 m 2'
_space_group_IT_number 187
_space_group_name_Hall 'P -6 2'
loop_
_atom_site_label
_atom_site_type_symbol
_atom_site_fract_x
_atom_site_fract_y
_atom_site_fract_z
Pa1 Pa 0.0000 0.0000 0.0000
Al1 Al 0.3333 0.6667 0.5000
Pd1 Pd 0.0050 0.5025 0.0000
Pd2 Pd 0.3381 0.1691 0.5000
```

***

Simulated powder diffractogram of Pa2AlPd6 for λ = 1.5418 Å (Cu Kα), from a DFT-relaxed cell (GGA-PBE, Alexandria).
No peak broadening, texture or thermal motion is included.

The 8 most intense peaks (2θ = 5–70°), most intense first:
- (2 2 1), 2θ = 37.74°, I = 100
- (3 1 -1), 2θ = 33.62°, I = 81
- (4 2 -1), 2θ = 44.53°, I = 52
- (6 0 0), 2θ = 39.99°, I = 51
- (3 3 0), 2θ = 44.08°, I = 50
- (1 1 -1), 2θ = 27.79°, I = 47
- (0 2 1), 2θ = 35.23°, I = 46
- (3 1 0), 2θ = 23.55°, I = 42

Crystal structure
```
data_Pa2AlPd6
_chemical_formula_sum 'Pa4 Al2 Pd12'
_cell_length_a 13.527
_cell_length_b 6.924
_cell_length_c 3.761
_cell_angle_alpha 90.00
_cell_angle_beta 90.08
_cell_angle_gamma 90.00
_space_group_name_H-M_alt 'C 1 2/m 1'
_space_group_IT_number 12
loop_
_space_group_symop_operation_xyz
'x,y,z'
'-x,-y,-z'
'-x,y,-z'
'x,-y,z'
'x+1/2,y+1/2,z'
'-x+1/2,-y+1/2,-z'
'-x+1/2,y+1/2,-z'
'x+1/2,-y+1/2,z'
loop_
_atom_site_label
_atom_site_type_symbol
_atom_site_fract_x
_atom_site_fract_y
_atom_site_fract_z
Pa1 Pa 0.180 0.000 0.001
Al1 Al 0.000 0.500 0.500
Pd1 Pd 0.000 0.239 0.000
Pd2 Pd 0.154 0.294 0.501
```

***

Simulated powder diffractogram of PaAl4Pd5 for λ = 1.5418 Å (Cu Kα), from a DFT-relaxed cell (GGA-PBE, Alexandria).
No peak broadening, texture or thermal motion is included.

The 8 most intense peaks (2θ = 5–70°), most intense first:
- (1 0 5), 2θ = 40.09°, I = 100
- (0 0 1), 2θ = 5.43°, I = 74
- (1 1 0), 2θ = 41.03°, I = 67
- (1 0 4), 2θ = 36.35°, I = 31
- (1 0 3), 2θ = 33.19°, I = 25
- (1 0 1), 2θ = 29.23°, I = 25
- (1 0 2), 2θ = 30.77°, I = 25
- (2 0 0), 2θ = 59.42°, I = 22

Crystal structure
```
data_PaAl4Pd5
_chemical_formula_sum 'Pa1 Al4 Pd5'
_cell_length_a 3.111
_cell_length_b 3.111
_cell_length_c 16.276
_cell_angle_alpha 90.00
_cell_angle_beta 90.00
_cell_angle_gamma 90.00
_space_group_name_H-M_alt 'P 4/m m m'
_space_group_IT_number 123
_space_group_name_Hall '-P 4 2'
loop_
_atom_site_label
_atom_site_type_symbol
_atom_site_fract_x
_atom_site_fract_y
_atom_site_fract_z
Pa1 Pa 0.000 0.000 0.000
Al1 Al 0.000 0.000 0.221
Al2 Al 0.000 0.000 0.408
Pd1 Pd 0.500 0.500 0.132
Pd2 Pd 0.500 0.500 0.316
Pd3 Pd 0.500 0.500 0.500
```

***

Simulated powder diffractogram of Pm2PaAlPt6 for λ = 1.5418 Å (Cu Kα), from a DFT-relaxed cell (GGA-PBE, Alexandria).
No peak broadening, texture or thermal motion is included.

The 8 most intense peaks (2θ = 5–70°), most intense first:
- (0 2 4), 2θ = 39.46°, I = 100
- (2 0 2), 2θ = 37.34°, I = 67
- (0 0 6), 2θ = 21.43°, I = 46
- (1 1 6), 2θ = 38.47°, I = 45
- (0 1 2), 2θ = 19.44°, I = 40
- (2 0 8), 2θ = 47.17°, I = 36
- (1 0 10), 2θ = 40.66°, I = 33
- (2 2 0), 2θ = 65.90°, I = 29

Crystal structure
```
data_Pm2PaAlPt6
_chemical_formula_sum 'Pm6 Pa3 Al3 Pt18'
_cell_length_a 5.6691
_cell_length_b 5.6691
_cell_length_c 24.8743
_cell_angle_alpha 90.00
_cell_angle_beta 90.00
_cell_angle_gamma 120.00
_space_group_name_H-M_alt 'R -3 m'
_space_group_IT_number 166
_space_group_name_Hall '-R 3 2"'
loop_
_atom_site_label
_atom_site_type_symbol
_atom_site_fract_x
_atom_site_fract_y
_atom_site_fract_z
Pm1 Pm 0.0000 0.0000 0.2028
Pa1 Pa 0.0000 0.0000 0.0000
Al1 Al 0.0000 0.0000 0.5000
Pt1 Pt 0.0029 0.5014 0.2448
```